Entry 1:
The following is a simulated powder diffractogram of LaAgC. It was derived from DFT lattice parameters and positions (PBE), using Cu Kα (weighted mean of Kα1 and Kα2).
Intensities are scaled so that the largest is 100.

Crystal structure
Cell: 3.817 3.817 4.255 Å, 90.00 90.00 90.00°
Space group P4/mmm (No. 123)
Inequivalent atoms, fractional coordinates:
La 0.000 0.000 0.000 x1
Ag 0.500 0.500 0.500 x1
C 0.500 0.500 0.000 x1

Main lines, sorted by position (5 to 70 degrees two-theta):
- 2θ 20.9, rel. 2, hkl 0 0 1
- 2θ 31.5, rel. 100, hkl 1 0 1
- 2θ 33.2, rel. 52, hkl 1 1 0
- 2θ 39.5, rel. 1, hkl 1 1 1
- 2θ 42.5, rel. 13, hkl 0 0 2
- 2θ 47.7, rel. 18, hkl 2 0 0
- 2θ 52.6, rel. 1, hkl 2 0 1
- 2θ 55.0, rel. 23, hkl 1 1 2
- 2θ 58.2, rel. 34, hkl 2 1 1
- 2θ 65.7, rel. 13, hkl 2 0 2
- 2θ 69.7, rel. 6, hkl 2 2 0

---

Entry 2:
The following is a simulated powder diffractogram of LiAg2C2N2O2. It was derived from DFT lattice parameters and positions (PBE), using Cu Kα (weighted mean of Kα1 and Kα2).
Intensities are scaled so that the largest is 100.

Crystal structure
Cell: 3.266 8.855 5.684 Å, 90.00 105.72 90.00°
Space group Pm (No. 6)
Inequivalent atoms, fractional coordinates:
Li 0.000 0.000 0.000 x1
Ag 0.436 0.294 0.795 x2
C 0.277 0.000 0.566 x1
C 0.901 0.500 0.223 x1
N 0.402 0.000 0.789 x1
N 0.681 0.500 0.014 x1
O 0.124 0.500 0.431 x1
O 0.152 0.000 0.347 x1

Main lines, sorted by position (5 to 70 degrees two-theta):
- 2θ 10.0, rel. 20, hkl 0 1 0
- 2θ 16.2, rel. 100, hkl 0 0 1
- 2θ 25.9, rel. 69, hkl 0 2 1
- 2θ 28.4, rel. 30, hkl 1 0 0
- 2θ 28.7, rel. 54, hkl 1 0 -1
- 2θ 32.7, rel. 22, hkl 0 0 2
- 2θ 34.5, rel. 25, hkl 0 3 1
- 2θ 35.0, rel. 28, hkl 1 2 0
- 2θ 38.7, rel. 20, hkl 0 2 2
- 2θ 42.0, rel. 15, hkl 1 3 0
- 2θ 42.1, rel. 26, hkl 1 2 1
- 2θ 42.7, rel. 17, hkl 1 2 -2

---

Entry 3:
The following is a simulated powder diffractogram of LiAgC2O4. It was derived from DFT lattice parameters and positions (PBE), using Cu Kα (weighted mean of Kα1 and Kα2).
Intensities are scaled so that the largest is 100.

Crystal structure
Cell: 3.938 5.661 10.193 Å, 86.18 85.53 79.31°
Space group P-1 (No. 2)
Inequivalent atoms, fractional coordinates:
Li 0.030 0.075 0.140 x2
Ag 0.308 0.548 0.338 x2
C 0.074 0.926 0.563 x2
C 0.083 0.550 0.057 x2
O 0.016 0.024 0.672 x2
O 0.116 0.768 0.045 x2
O 0.170 0.399 0.152 x2
O 0.241 0.714 0.546 x2

Main lines, sorted by position (5 to 70 degrees two-theta):
- 2θ 8.7, rel. 97, hkl 0 0 1
- 2θ 16.0, rel. 100, hkl 0 1 0
- 2θ 25.2, rel. 58, hkl 1 0 -1
- 2θ 25.6, rel. 38, hkl 1 1 0
- 2θ 26.3, rel. 36, hkl 0 0 3
- 2θ 27.9, rel. 66, hkl 1 1 -1
- 2θ 28.1, rel. 18, hkl 1 0 2
- 2θ 32.0, rel. 28, hkl -1 1 1
- 2θ 35.0, rel. 24, hkl 1 -1 2
- 2θ 37.7, rel. 20, hkl 0 2 -2
- 2θ 38.2, rel. 31, hkl 0 1 4
- 2θ 43.3, rel. 19, hkl 1 2 3

---

Entry 4:
The following is a simulated powder diffractogram of LiAgC2O4. It was derived from DFT lattice parameters and positions (PBE), using Cu Kα (weighted mean of Kα1 and Kα2).
Intensities are scaled so that the largest is 100.

Crystal structure
Cell: 3.628 5.142 10.365 Å, 90.00 91.69 90.00°
Space group P2_1 (No. 4)
Inequivalent atoms, fractional coordinates:
Li 0.088 0.000 0.104 x2
Ag 0.396 0.613 0.587 x2
C 0.080 0.626 0.295 x2
C 0.119 0.003 0.827 x2
O 0.071 0.500 0.401 x2
O 0.122 0.143 0.927 x2
O 0.242 0.841 0.277 x2
O 0.249 0.776 0.817 x2

Main lines, sorted by position (5 to 70 degrees two-theta):
- 2θ 8.5, rel. 100, hkl 0 0 1
- 2θ 24.4, rel. 24, hkl 0 1 2
- 2θ 26.3, rel. 16, hkl 1 0 1
- 2θ 30.2, rel. 10, hkl 1 1 0
- 2θ 31.2, rel. 48, hkl 1 1 -1
- 2θ 34.5, rel. 14, hkl 1 1 -2
- 2θ 34.9, rel. 8, hkl 0 2 0
- 2θ 36.0, rel. 8, hkl 0 2 1
- 2θ 38.9, rel. 11, hkl 0 1 4
- 2θ 39.6, rel. 7, hkl 1 1 -3
- 2θ 40.6, rel. 9, hkl 1 1 3
- 2θ 44.2, rel. 9, hkl 1 2 1

---

Entry 5:
The following is a simulated powder diffractogram of Li2ZrAgC. It was derived from DFT lattice parameters and positions (PBE), using Cu Kα (weighted mean of Kα1 and Kα2).
Intensities are scaled so that the largest is 100.

Crystal structure
Cell: 5.583 5.583 3.966 Å, 90.00 90.00 90.00°
Space group P4/mmm (No. 123)
Inequivalent atoms, fractional coordinates:
Li 0.000 0.500 0.000 x2
Zr 0.000 0.000 0.000 x1
Ag 0.500 0.500 0.500 x1
C 0.000 0.000 0.500 x1

Main lines, sorted by position (5 to 70 degrees two-theta):
- 2θ 22.5, rel. 95, hkl 1 1 0
- 2θ 27.6, rel. 100, hkl 1 0 1
- 2θ 32.1, rel. 49, hkl 2 0 0
- 2θ 42.8, rel. 60, hkl 2 1 1
- 2θ 45.8, rel. 8, hkl 0 0 2
- 2θ 46.0, rel. 16, hkl 2 2 0
- 2θ 51.6, rel. 19, hkl 1 1 2
- 2θ 51.8, rel. 18, hkl 3 1 0
- 2θ 54.5, rel. 15, hkl 3 0 1
- 2θ 57.0, rel. 16, hkl 2 0 2
- 2θ 64.6, rel. 17, hkl 3 2 1
- 2θ 66.9, rel. 10, hkl 2 2 2

---

Entry 6:
The following is a simulated powder diffractogram of AgC4N3. It was derived from DFT lattice parameters and positions (PBE), using Cu Kα (weighted mean of Kα1 and Kα2).
Intensities are scaled so that the largest is 100.

Crystal structure
Cell: 8.102 11.626 6.123 Å, 90.00 90.00 90.00°
Space group Ima2 (No. 46)
Inequivalent atoms, fractional coordinates:
Ag 0.250 0.127 0.000 x4
C 0.100 0.641 0.225 x8
C 0.250 0.539 0.941 x4
C 0.250 0.609 0.128 x4
N 0.026 0.167 0.806 x8
N 0.250 0.021 0.287 x4

Main lines, sorted by position (5 to 70 degrees two-theta):
- 2θ 13.3, rel. 44, hkl 1 1 0
- 2θ 16.4, rel. 27, hkl 0 1 1
- 2θ 21.9, rel. 24, hkl 2 0 0
- 2θ 23.8, rel. 100, hkl 1 2 1
- 2θ 27.2, rel. 30, hkl 0 3 1
- 2θ 27.5, rel. 15, hkl 2 1 1
- 2θ 30.8, rel. 15, hkl 0 4 0
- 2θ 32.2, rel. 19, hkl 1 1 2
- 2θ 35.2, rel. 14, hkl 2 3 1
- 2θ 36.8, rel. 17, hkl 2 0 2
- 2θ 39.6, rel. 20, hkl 3 2 1
- 2θ 50.7, rel. 16, hkl 1 6 1

---

Entry 7:
The following is a simulated powder diffractogram of AgCSN. It was derived from DFT lattice parameters and positions (PBE), using Cu Kα (weighted mean of Kα1 and Kα2).
Intensities are scaled so that the largest is 100.

Crystal structure
Cell: 9.248 8.410 8.513 Å, 90.00 99.76 90.00°
Space group C2/c (No. 15)
Inequivalent atoms, fractional coordinates:
Ag 0.086 0.149 0.106 x8
C 0.146 0.388 0.612 x8
S 0.235 0.019 0.799 x8
N 0.058 0.298 0.547 x8

Main lines, sorted by position (5 to 70 degrees two-theta):
- 2θ 14.3, rel. 83, hkl 1 1 0
- 2θ 18.8, rel. 84, hkl 1 1 1
- 2θ 23.7, rel. 50, hkl 0 2 1
- 2θ 26.3, rel. 100, hkl 2 0 -2
- 2θ 28.9, rel. 21, hkl 2 2 0
- 2θ 32.0, rel. 77, hkl 2 2 1
- 2θ 33.4, rel. 24, hkl 1 3 0
- 2θ 33.6, rel. 27, hkl 1 1 -3
- 2θ 35.1, rel. 27, hkl 3 1 -2
- 2θ 38.7, rel. 38, hkl 0 2 3
- 2θ 44.9, rel. 27, hkl 4 2 -1
- 2θ 54.2, rel. 26, hkl 4 0 -4

---

Entry 8:
The following is a simulated powder diffractogram of AgCSN. It was derived from DFT lattice parameters and positions (PBE), using Cu Kα (weighted mean of Kα1 and Kα2).
Intensities are scaled so that the largest is 100.

Crystal structure
Cell: 7.224 11.541 4.238 Å, 90.00 90.00 90.00°
Space group Pnnm (No. 58)
Inequivalent atoms, fractional coordinates:
Ag 0.204 0.158 0.000 x4
C 0.168 0.381 0.500 x4
S 0.060 0.254 0.500 x4
N 0.244 0.471 0.500 x4

Main lines, sorted by position (5 to 70 degrees two-theta):
- 2θ 15.4, rel. 59, hkl 0 2 0
- 2θ 19.7, rel. 100, hkl 1 2 0
- 2θ 22.3, rel. 84, hkl 0 1 1
- 2θ 24.6, rel. 36, hkl 2 0 0
- 2θ 25.6, rel. 75, hkl 1 1 1
- 2θ 25.8, rel. 54, hkl 2 1 0
- 2θ 31.4, rel. 56, hkl 0 3 1
- 2θ 33.5, rel. 69, hkl 1 4 0
- 2θ 36.2, rel. 29, hkl 2 2 1
- 2θ 40.3, rel. 33, hkl 2 3 1
- 2θ 44.0, rel. 28, hkl 3 1 1
- 2θ 46.5, rel. 45, hkl 1 5 1

---

Entry 9:
The following is a simulated powder diffractogram of Na2AgC2O6. It was derived from DFT lattice parameters and positions (PBE), using Cu Kα (weighted mean of Kα1 and Kα2).
Intensities are scaled so that the largest is 100.

Crystal structure
Cell: 5.217 6.072 6.249 Å, 109.53 114.35 100.06°
Space group P-1 (No. 2)
Inequivalent atoms, fractional coordinates:
Na 0.115 0.252 0.314 x2
Ag 0.500 0.500 0.000 x1
C 0.174 0.717 0.257 x2
O 0.022 0.354 0.676 x2
O 0.158 0.861 0.150 x2
O 0.386 0.619 0.307 x2

Main lines, sorted by position (5 to 70 degrees two-theta):
- 2θ 16.6, rel. 100, hkl 0 1 0
- 2θ 17.5, rel. 30, hkl 0 0 1
- 2θ 17.9, rel. 70, hkl 0 1 -1
- 2θ 20.9, rel. 26, hkl 1 -1 0
- 2θ 24.7, rel. 40, hkl 1 1 -1
- 2θ 30.0, rel. 35, hkl 0 2 -1
- 2θ 30.4, rel. 30, hkl 1 0 -2
- 2θ 30.6, rel. 22, hkl 1 1 0
- 2θ 32.3, rel. 29, hkl 1 -2 0
- 2θ 32.9, rel. 40, hkl 1 0 1
- 2θ 45.8, rel. 17, hkl 0 3 -1
- 2θ 48.4, rel. 20, hkl 2 -2 1

---

Entry 10:
The following is a simulated powder diffractogram of NaAgC2O4. It was derived from DFT lattice parameters and positions (PBE), using Cu Kα (weighted mean of Kα1 and Kα2).
Intensities are scaled so that the largest is 100.

Crystal structure
Cell: 3.543 5.312 11.119 Å, 88.08 84.16 88.14°
Space group P-1 (No. 2)
Inequivalent atoms, fractional coordinates:
Na 0.215 0.065 0.356 x2
Ag 0.159 0.433 0.837 x2
C 0.382 0.452 0.560 x2
C 0.393 0.063 0.057 x2
O 0.215 0.269 0.040 x2
O 0.262 0.230 0.563 x2
O 0.331 0.609 0.645 x2
O 0.410 0.951 0.160 x2

Main lines, sorted by position (5 to 70 degrees two-theta):
- 2θ 8.0, rel. 100, hkl 0 0 1
- 2θ 16.7, rel. 68, hkl 0 1 0
- 2θ 18.8, rel. 32, hkl 0 1 -1
- 2θ 22.9, rel. 33, hkl 0 1 2
- 2θ 24.1, rel. 34, hkl 0 0 3
- 2θ 25.8, rel. 41, hkl 1 0 1
- 2θ 29.1, rel. 31, hkl 0 1 3
- 2θ 30.0, rel. 79, hkl 1 1 0
- 2θ 30.3, rel. 79, hkl 1 1 1
- 2θ 31.4, rel. 89, hkl 1 -1 1
- 2θ 32.4, rel. 43, hkl 0 0 4
- 2θ 40.9, rel. 31, hkl 1 1 -3

---

Entry 11:
The following is a simulated powder diffractogram of NaAgC2O4. It was derived from DFT lattice parameters and positions (PBE), using Cu Kα (weighted mean of Kα1 and Kα2).
Intensities are scaled so that the largest is 100.

Crystal structure
Cell: 3.645 5.161 10.935 Å, 90.00 92.99 90.00°
Space group P2_1 (No. 4)
Inequivalent atoms, fractional coordinates:
Na 0.202 0.000 0.398 x2
Ag 0.110 0.394 0.920 x2
C 0.354 0.982 0.686 x2
C 0.435 0.382 0.194 x2
O 0.220 0.208 0.689 x2
O 0.253 0.175 0.203 x2
O 0.337 0.829 0.595 x2
O 0.458 0.516 0.097 x2

Main lines, sorted by position (5 to 70 degrees two-theta):
- 2θ 8.1, rel. 100, hkl 0 0 1
- 2θ 23.7, rel. 17, hkl 0 1 2
- 2θ 26.2, rel. 11, hkl 1 0 1
- 2θ 30.0, rel. 30, hkl 0 1 3
- 2θ 30.8, rel. 47, hkl 1 1 -1
- 2θ 33.7, rel. 14, hkl 1 1 -2
- 2θ 34.8, rel. 9, hkl 0 2 0
- 2θ 35.8, rel. 12, hkl 0 2 1
- 2θ 37.3, rel. 14, hkl 0 1 4
- 2θ 40.0, rel. 11, hkl 1 1 3
- 2θ 44.1, rel. 12, hkl 1 2 1
- 2θ 46.7, rel. 8, hkl 1 2 2

---

Entry 12:
The following is a simulated powder diffractogram of Nb2AgC. It was derived from DFT lattice parameters and positions (PBE), using Cu Kα (weighted mean of Kα1 and Kα2).
Intensities are scaled so that the largest is 100.

Crystal structure
Cell: 3.1587 3.1587 21.5740 Å, 90.00 90.00 120.00°
Space group R-3m (No. 166, hexagonal axes)
Inequivalent atoms, fractional coordinates:
Nb 0.0000 0.0000 0.2221 x6
Ag 0.0000 0.0000 0.0000 x3
C 0.0000 0.0000 0.5000 x3

Main lines, sorted by position (5 to 70 degrees two-theta):
- 2θ 33.0, rel. 34, hkl 1 0 1
- 2θ 33.8, rel. 6, hkl 0 1 2
- 2θ 36.8, rel. 100, hkl 1 0 4
- 2θ 37.5, rel. 38, hkl 0 0 9
- 2θ 39.0, rel. 73, hkl 0 1 5
- 2θ 44.3, rel. 5, hkl 1 0 7
- 2θ 47.3, rel. 16, hkl 0 1 8
- 2θ 54.1, rel. 11, hkl 1 0 10
- 2θ 57.8, rel. 2, hkl 0 1 11
- 2θ 58.4, rel. 34, hkl 1 1 0
- 2θ 65.8, rel. 15, hkl 1 0 13
- 2θ 68.8, rel. 4, hkl 0 2 1

---

Entry 13:
The following is a simulated powder diffractogram of NdAgC2O6. It was derived from DFT lattice parameters and positions (PBE), using Cu Kα (weighted mean of Kα1 and Kα2).
Intensities are scaled so that the largest is 100.

Crystal structure
Cell: 9.760 8.908 7.542 Å, 90.00 121.40 90.00°
Space group C2/c (No. 15)
Inequivalent atoms, fractional coordinates:
Nd 0.000 0.091 0.250 x4
Ag 0.000 0.429 0.750 x4
C 0.245 0.131 0.785 x8
O 0.101 0.113 0.622 x8
O 0.152 0.286 0.220 x8
O 0.227 0.445 0.050 x8

Main lines, sorted by position (5 to 70 degrees two-theta):
- 2θ 19.9, rel. 23, hkl 0 2 0
- 2θ 21.3, rel. 45, hkl 2 0 0
- 2θ 24.3, rel. 37, hkl 0 2 1
- 2θ 24.6, rel. 33, hkl 2 0 -2
- 2θ 27.2, rel. 100, hkl 2 2 -1
- 2θ 27.7, rel. 49, hkl 0 0 2
- 2θ 31.9, rel. 23, hkl 2 2 -2
- 2θ 37.2, rel. 40, hkl 4 0 -2
- 2θ 41.2, rel. 32, hkl 2 2 -3
- 2θ 43.0, rel. 20, hkl 0 4 1
- 2θ 43.1, rel. 19, hkl 4 2 -1
- 2θ 44.8, rel. 17, hkl 2 4 -1